Record 1
Starting from a cell relaxed with GGA-PBE, the XRD peak list of NaTbSm4Se8 was simulated for Cu Kα, 1.54184 Å.

Largest 12 diffraction maxima, by intensity, 10 to 80 degrees two-theta:
| Position (°2θ) | I_rel |
| --- | --- |
| 29.37 | 100 |
| 24.24 | 74 |
| 41.91 | 65 |
| 42.13 | 64 |
| 12.60 | 52 |
| 38.43 | 48 |
| 24.35 | 25 |
| 60.93 | 20 |
| 76.70 | 19 |
| 52.00 | 18 |
| 69.22 | 15 |
| 68.90 | 14 |

Atomic structure:
Cell lengths 8.5795, 8.5795, 8.5795 Å; angles 60.34, 60.34, 60.34 degrees
Atoms (fractional coordinates):
Na: 0.0000 0.0000 0.0000
Tb: 0.6289 0.6289 0.6289
Sm: 0.1101 0.6287 0.6287
Sm: 0.2483 0.2483 0.2483
Sm: 0.6287 0.1102 0.6287
Sm: 0.6287 0.6287 0.1102
Se: 0.3820 0.3820 0.3820
Se: 0.3848 0.3848 0.8479
Se: 0.3848 0.8479 0.3848
Se: 0.4036 0.8621 0.8621
Se: 0.8479 0.3848 0.3848
Se: 0.8621 0.4036 0.8621
Se: 0.8621 0.8621 0.4036
Se: 0.8648 0.8648 0.8648

Record 2
Starting from a cell relaxed with GGA-PBE, the XRD peak list of SnH10C3NCl3 was simulated for Cu Kα, 1.54184 Å.

Largest 12 diffraction maxima, by intensity, 10 to 80 degrees two-theta:
| Position (°2θ) | I_rel |
| --- | --- |
| 19.71 | 100 |
| 13.78 | 79 |
| 27.77 | 61 |
| 15.47 | 58 |
| 14.02 | 57 |
| 18.13 | 42 |
| 28.25 | 38 |
| 31.56 | 34 |
| 31.23 | 32 |
| 29.32 | 32 |
| 40.03 | 31 |
| 42.82 | 28 |

Atomic structure:
Cell lengths 6.4875, 6.4875, 12.6357 Å; angles 90.00, 90.00, 82.08 degrees
Atoms (fractional coordinates):
Sn: 0.0493 0.9507 0.5000
Sn: 0.9507 0.0493 0.0000
H: 0.1844 0.5662 0.8185
H: 0.2157 0.3527 0.7270
H: 0.3140 0.6860 0.2047
H: 0.3185 0.4975 0.1005
H: 0.3453 0.6547 0.6592
H: 0.3527 0.2157 0.2270
H: 0.3550 0.3916 0.3369
H: 0.3916 0.3550 0.8369
H: 0.4338 0.8156 0.8185
H: 0.4975 0.3185 0.6005
H: 0.5025 0.6815 0.1005
H: 0.5662 0.1844 0.3185
H: 0.6084 0.6450 0.3369
H: 0.6450 0.6084 0.8369
H: 0.6473 0.7843 0.7270
H: 0.6547 0.3453 0.1592
H: 0.6815 0.5025 0.6005
H: 0.6860 0.3140 0.7047
H: 0.7843 0.6473 0.2270
H: 0.8156 0.4338 0.3185
C: 0.2969 0.4508 0.7785
C: 0.4136 0.5864 0.1498
C: 0.4508 0.2969 0.2785
C: 0.5492 0.7031 0.7785
C: 0.5864 0.4136 0.6498
C: 0.7031 0.5492 0.2785
N: 0.4378 0.5622 0.7125
N: 0.5622 0.4378 0.2125
Cl: 0.0283 0.9717 0.7009
Cl: 0.0760 0.5564 0.5036
Cl: 0.4436 0.9240 0.5036
Cl: 0.5564 0.0760 0.0036
Cl: 0.9240 0.4436 0.0036
Cl: 0.9717 0.0283 0.2009